No. 1
Starting from a GGA-PBE-relaxed structure, the X-ray powder pattern of Pm3Pr7Er2 was simulated for Cu Kα, 1.54184 Å.

Crystal structure
Unit cell a=6.5603 b=3.5994 c=17.8796 alpha=90.00 beta=95.94 gamma=90.00
Space group P2/m (No. 10)
Unique sites:
1 Pm 0.0000 0.0000 0.0000 (multiplicity 1)
2 Pm 0.0423 0.5000 0.6610 (multiplicity 2)
3 Pr 0.2287 0.5000 0.1692 (multiplicity 2)
4 Pr 0.2440 0.0000 0.5064 (multiplicity 2)
5 Pr 0.2748 0.0000 0.8287 (multiplicity 2)
6 Pr 0.5000 0.5000 0.0000 (multiplicity 1)
7 Er 0.4444 0.0000 0.3301 (multiplicity 2)

The 12 most intense peaks (2θ from 5° to 70°), in order of rising 2θ:
| 2theta | Rel. int. |
| --- | --- |
| 29.02 | 57 |
| 29.86 | 83 |
| 30.15 | 100 |
| 30.56 | 94 |
| 32.67 | 68 |
| 34.04 | 84 |
| 37.16 | 24 |
| 48.73 | 38 |
| 50.73 | 23 |
| 58.84 | 24 |
| 59.98 | 23 |
| 60.15 | 28 |

---

No. 2
Starting from a GGA-PBE-relaxed structure, the X-ray powder pattern of Pm5Pr4Er3 was simulated for Cu Kα, 1.54184 Å.

Crystal structure
Unit cell a=16.4301 b=6.0065 c=9.4857 alpha=90.00 beta=116.71 gamma=90.00
Space group C2/m (No. 12)
Unique sites:
1 Pm 0.0000 0.0000 0.0000 (multiplicity 2)
2 Pm 0.0733 0.5000 0.7030 (multiplicity 4)
3 Pm 0.1715 0.5000 0.3880 (multiplicity 4)
4 Pr 0.0834 0.0000 0.4429 (multiplicity 4)
5 Pr 0.2185 0.0000 0.8788 (multiplicity 4)
6 Er 0.0000 0.5000 0.0000 (multiplicity 2)
7 Er 0.2095 0.0000 0.2292 (multiplicity 4)

The 12 most intense peaks (2θ from 5° to 70°), in order of rising 2θ:
| 2theta | Rel. int. |
| --- | --- |
| 28.30 | 30 |
| 28.65 | 35 |
| 28.95 | 32 |
| 29.75 | 100 |
| 30.59 | 43 |
| 31.18 | 45 |
| 31.92 | 82 |
| 32.25 | 30 |
| 33.04 | 65 |
| 43.20 | 35 |
| 49.85 | 24 |
| 59.14 | 27 |

---

No. 3
Starting from a GGA-PBE-relaxed structure, the X-ray powder pattern of Pm4PrEr4 was simulated for Cu Kα, 1.54184 Å.

Crystal structure
Unit cell a=10.7851 b=10.7851 c=5.0833 alpha=90.00 beta=90.00 gamma=90.00
Space group I4/mmm (No. 139)
Unique sites:
1 Pm 0.1680 0.1680 0.0000 (multiplicity 8)
2 Pr 0.0000 0.0000 0.5000 (multiplicity 2)
3 Er 0.0000 0.3363 0.5000 (multiplicity 8)

The 6 most intense peaks (2θ from 5° to 70°), in order of rising 2θ:
| 2theta | Rel. int. |
| --- | --- |
| 11.60 | 1 |
| 30.45 | 100 |
| 35.31 | 51 |
| 50.80 | 36 |
| 60.39 | 43 |
| 63.38 | 12 |

---

No. 4
Starting from a GGA-PBE-relaxed structure, the X-ray powder pattern of Pm2Pr5Er4 was simulated for Cu Kα, 1.54184 Å.

Crystal structure
Unit cell a=17.8872 b=3.5685 c=11.7379 alpha=90.00 beta=93.91 gamma=90.00
Space group C2/m (No. 12)
Unique sites:
1 Pm 0.2168 0.0000 0.3515 (multiplicity 4)
2 Pr 0.0000 0.0000 0.0000 (multiplicity 2)
3 Pr 0.0960 0.5000 0.5348 (multiplicity 4)
4 Pr 0.1760 0.5000 0.0703 (multiplicity 4)
5 Er 0.0324 0.5000 0.2589 (multiplicity 4)
6 Er 0.1396 0.0000 0.7969 (multiplicity 4)

The 12 most intense peaks (2θ from 5° to 70°), in order of rising 2θ:
| 2theta | Rel. int. |
| --- | --- |
| 29.56 | 24 |
| 29.92 | 21 |
| 30.49 | 94 |
| 31.49 | 100 |
| 32.54 | 40 |
| 33.51 | 26 |
| 36.79 | 14 |
| 46.97 | 16 |
| 51.20 | 15 |
| 58.35 | 15 |
| 60.78 | 18 |
| 61.35 | 38 |